Record 1
For Sm6Dy3Ho2In, a DFT-relaxed cell (PBE, Alexandria) gives the simulated powder diffractogram in this record (Cu Kα, 1.54184 Å).
No peak broadening, texture or thermal motion is included.

Main lines, in order of rising 2θ (5° ≤ 2θ ≤ 70°):
h k l, 2theta, intensity
1 3 1, 30.8, 100
0 0 4, 31.0, 33
2 0 2, 35.8, 67
0 6 0, 51.4, 24
2 0 -6, 51.6, 24
2 6 -2, 61.1, 9
4 0 0, 61.2, 24
3 3 3, 61.3, 9
1 3 -7, 61.4, 9
4 0 -4, 64.2, 12

Structural model:
```
data_Sm6Dy3Ho2In
_cell_length_a 6.153
_cell_length_b 10.680
_cell_length_c 11.721
_cell_angle_alpha 90.00
_cell_angle_beta 100.18
_cell_angle_gamma 90.00
_space_group_name_H-M_alt 'C 1 2/m 1'
_space_group_IT_number 12
loop_
_space_group_symop_operation_xyz
'x,y,z'
'-x,-y,-z'
'-x,y,-z'
'x,-y,z'
'x+1/2,y+1/2,z'
'-x+1/2,-y+1/2,-z'
'-x+1/2,y+1/2,-z'
'x+1/2,-y+1/2,z'
loop_
_atom_site_label
_atom_site_type_symbol
_atom_site_fract_x
_atom_site_fract_y
_atom_site_fract_z
Sm1 Sm 0.245 0.000 0.251
Sm2 Sm 0.246 0.164 0.747
Dy1 Dy 0.000 0.168 0.000
Dy2 Dy 0.000 0.500 0.000
Ho1 Ho 0.000 0.334 0.500
In1 In 0.000 0.000 0.500
```


Record 2
For NaThS3, a DFT-relaxed cell (PBE, Alexandria) gives the simulated powder diffractogram in this record (Cu Kα, 1.54184 Å).
No peak broadening, texture or thermal motion is included.

Main lines, in order of rising 2θ (5° ≤ 2θ ≤ 70°):
h k l, 2theta, intensity
0 0 1, 8.5, 100
1 0 1, 18.5, 73
0 1 0, 20.7, 25
1 0 2, 23.7, 46
0 1 2, 26.9, 26
1 1 1, 27.9, 39
1 1 2, 31.7, 51
0 1 3, 33.2, 86
2 1 1, 40.4, 29
2 1 3, 47.7, 28

Structural model:
```
data_NaThS3
_cell_length_a 5.395
_cell_length_b 4.290
_cell_length_c 10.418
_cell_angle_alpha 90.00
_cell_angle_beta 90.00
_cell_angle_gamma 90.00
_space_group_name_H-M_alt 'P m m a'
_space_group_IT_number 51
loop_
_space_group_symop_operation_xyz
'x,y,z'
'-x,-y,-z'
'-x+1/2,-y,z'
'x+1/2,y,-z'
'x+1/2,-y,-z'
'-x+1/2,y,z'
'-x,y,-z'
'x,-y,z'
loop_
_atom_site_label
_atom_site_type_symbol
_atom_site_fract_x
_atom_site_fract_y
_atom_site_fract_z
Na1 Na 0.250 0.000 0.109
Th1 Th 0.250 0.500 0.663
S1 S 0.000 0.000 0.500
S2 S 0.250 0.000 0.834
S3 S 0.250 0.500 0.276
```


Record 3
For HfGa2Pt8, a DFT-relaxed cell (PBE, Alexandria) gives the simulated powder diffractogram in this record (Cu Kα, 1.54184 Å).
No peak broadening, texture or thermal motion is included.

Main lines, in order of rising 2θ (5° ≤ 2θ ≤ 70°):
h k l, 2theta, intensity
0 0 1, 8.9, 18
1 1 0, 37.8, 100
1 -1 3, 38.1, 88
-1 2 1, 39.1, 87
1 0 -4, 40.7, 81
0 1 4, 43.6, 73
0 2 -3, 46.1, 92
2 -1 0, 46.3, 22
0 3 1, 64.0, 20
0 1 -7, 66.7, 17

Structural model:
```
data_HfGa2Pt8
_cell_length_a 3.956
_cell_length_b 4.909
_cell_length_c 10.094
_cell_angle_alpha 93.39
_cell_angle_beta 97.02
_cell_angle_gamma 113.01
_space_group_name_H-M_alt 'P -1'
_space_group_IT_number 2
loop_
_space_group_symop_operation_xyz
'x,y,z'
'-x,-y,-z'
loop_
_atom_site_label
_atom_site_type_symbol
_atom_site_fract_x
_atom_site_fract_y
_atom_site_fract_z
Hf1 Hf 0.000 0.000 0.000
Ga1 Ga 0.375 0.523 0.348
Pt1 Pt 0.020 0.876 0.286
Pt2 Pt 0.261 0.778 0.557
Pt3 Pt 0.323 0.755 0.825
Pt4 Pt 0.342 0.628 0.094
```